(1)
# Sr2MgZn2Sn2P4O16
Theoretical X-ray diffraction stick pattern, a wavelength of 1.5418 Å. Input: a structure optimized by DFT (PBE).

Atomic structure:
Unit cell a=5.2508 b=8.4126 c=9.9209 alpha=73.09 beta=80.68 gamma=87.58
Element x y z (fractional)
Sr: 0.0000 0.0000 0.0000
Sr: 0.2226 0.4847 0.9832
Mg: 0.8309 0.8968 0.3625
Zn: 0.0448 0.3238 0.6209
Zn: 0.1422 0.3381 0.3735
Sn: 0.3498 0.8768 0.6450
Sn: 0.6599 0.5183 0.4491
P: 0.3631 0.7667 0.2176
P: 0.5066 0.1839 0.7802
P: 0.6891 0.2733 0.2236
P: 0.8518 0.6755 0.7174
O: 0.0103 0.7533 0.8057
O: 0.1663 0.9012 0.2457
O: 0.3091 0.6006 0.3453
O: 0.3272 0.7372 0.0766
O: 0.3656 0.2312 0.9101
O: 0.3758 0.0148 0.7898
O: 0.4013 0.3205 0.2093
O: 0.4488 0.3134 0.6379
O: 0.5587 0.6648 0.7810
O: 0.6425 0.8253 0.2202
O: 0.7046 0.1180 0.3501
O: 0.8006 0.1590 0.7779
O: 0.8172 0.4228 0.2602
O: 0.8445 0.2611 0.0824
O: 0.8765 0.7976 0.5642
O: 0.9697 0.5039 0.7243

The 12 most intense peaks (2θ = 5–70°), sorted by position:
2θ/deg  Rel. int.  h k l
9.43  29.5  0 0 1
16.45  28.7  0 1 -1
18.22  26.6  1 0 1
24.65  100.0  0 2 2
24.93  44.5  1 1 -1
28.27  32.6  1 -1 2
28.40  30.0  -1 2 1
30.80  40.4  1 -2 1
31.02  33.9  1 0 3
35.79  33.7  1 3 1
36.37  31.0  2 -1 0
36.96  24.0  2 0 2

=====

(2)
# Sr2MgZn2Sn2P4O16
Theoretical X-ray diffraction stick pattern, a wavelength of 1.5418 Å. Input: a structure optimized by DFT (PBE).

Atomic structure:
Unit cell a=5.7504 b=8.2576 c=9.3895 alpha=69.50 beta=78.61 gamma=86.26
Element x y z (fractional)
Sr: 0.0000 0.0000 0.0000
Sr: 0.3265 0.5689 0.9496
Mg: 0.9556 0.4034 0.7914
Zn: 0.1383 0.0834 0.3891
Zn: 0.3179 0.3435 0.3811
Sn: 0.5694 0.9540 0.5099
Sn: 0.7440 0.5955 0.3983
P: 0.3905 0.8025 0.2090
P: 0.5078 0.2214 0.7094
P: 0.8003 0.3393 0.1769
P: 0.9491 0.7459 0.7279
O: 0.1571 0.6214 0.7021
O: 0.2047 0.9285 0.2558
O: 0.2611 0.2545 0.7966
O: 0.3336 0.7902 0.0605
O: 0.3797 0.6155 0.3395
O: 0.5097 0.0341 0.7075
O: 0.5405 0.3812 0.1593
O: 0.5456 0.3456 0.5352
O: 0.6497 0.8598 0.1927
O: 0.7116 0.2487 0.7848
O: 0.7235 0.6291 0.7742
O: 0.8128 0.1603 0.3109
O: 0.9101 0.4834 0.2166
O: 0.9308 0.8978 0.5721
O: 0.9552 0.3275 0.0253
O: 0.9915 0.8114 0.8536

The 12 most intense peaks (2θ = 5–70°), sorted by position:
2θ/deg  Rel. int.  h k l
10.24  27.5  0 0 1
17.10  16.7  1 0 1
20.36  14.1  1 0 -1
20.56  14.5  0 0 2
25.11  100.0  1 1 -1
27.98  10.7  -1 2 1
29.19  26.6  1 -1 2
31.52  34.8  1 -2 1
33.80  16.9  2 -1 0
33.90  12.4  2 1 0
35.60  21.6  1 3 1
35.99  16.8  -1 1 3

=====

(3)
# Sr2MgZn2Sn2P4O16
Theoretical X-ray diffraction stick pattern, a wavelength of 1.5418 Å. Input: a structure optimized by DFT (PBE).

Atomic structure:
Unit cell a=5.4339 b=8.2296 c=9.9008 alpha=69.24 beta=79.54 gamma=84.96
Element x y z (fractional)
Sr: 0.0000 0.0000 0.0000
Sr: 0.2732 0.4878 0.9719
Mg: 0.0547 0.9981 0.6736
Zn: 0.1496 0.4568 0.5523
Zn: 0.2216 0.0664 0.3396
Sn: 0.6167 0.8701 0.4534
Sn: 0.7504 0.5176 0.4305
P: 0.3830 0.7664 0.2101
P: 0.5019 0.1816 0.7495
P: 0.7429 0.2765 0.2151
P: 0.8788 0.6834 0.7410
O: 0.0814 0.5481 0.7140
O: 0.1765 0.9018 0.2387
O: 0.3142 0.7172 0.0876
O: 0.3483 0.0360 0.7416
O: 0.3774 0.6031 0.3595
O: 0.3842 0.2260 0.8841
O: 0.4586 0.2658 0.2156
O: 0.4800 0.3410 0.5990
O: 0.6155 0.6185 0.7796
O: 0.6432 0.8450 0.1823
O: 0.7846 0.1341 0.7483
O: 0.8063 0.4424 0.2419
O: 0.8319 0.1150 0.3460
O: 0.8933 0.8525 0.5931
O: 0.9012 0.2743 0.0713
O: 0.9744 0.7586 0.8455

The 12 most intense peaks (2θ = 5–70°), sorted by position:
2θ/deg  Rel. int.  h k l
9.68  62.1  0 0 1
12.21  24.8  0 1 1
20.56  39.3  1 0 -1
23.12  27.2  0 2 0
24.57  95.1  0 2 2
25.05  100.0  1 1 -1
27.50  26.1  0 1 3
29.29  40.3  1 -1 2
31.37  39.9  1 0 3
33.39  30.7  2 0 1
35.84  33.8  1 3 1
39.40  23.6  1 -3 0